For Ac4Mg2Cd, a structure optimized by DFT (GGA-PBE) gives the computed powder diffractogram in this record (λ = 1.5418 Å (Cu Kα)).
Intensities are scaled so that the largest is 100.

Top 10 peaks for 10 to 90 degrees two-theta, by angle:
| d (Å) | I/Imax | hkl |
| --- | --- | --- |
| 4.085 | 55 | 2 0 0 |
| 4.049 | 27 | 0 0 2 |
| 2.888 | 51 | 2 2 0 |
| 2.876 | 100 | 2 0 2 |
| 2.351 | 27 | 2 2 2 |
| 2.042 | 19 | 4 0 0 |
| 1.825 | 26 | 4 2 0 |
| 1.665 | 41 | 4 2 2 |
| 1.658 | 20 | 2 2 4 |
| 1.291 | 18 | 6 2 0 |

Crystal structure
abc: 8.169 8.169 8.098
angles: 90.00 90.00 90.00
Space group I4/mmm (No. 139)
One atom of each set of equivalent atoms:
Ac (0.250, 0.250, 0.250)
Mg (0.000, 0.500, 0.000)
Cd (0.000, 0.000, 0.000)

=====

For Ac2MgCdPt, a structure optimized by DFT (GGA-PBE) gives the computed powder diffractogram in this record (λ = 1.5418 Å (Cu Kα)).
Intensities are scaled so that the largest is 100.

Top 10 peaks for 10 to 90 degrees two-theta, by angle:
| d (Å) | I/Imax | hkl |
| --- | --- | --- |
| 7.691 | 91 | 0 0 1 |
| 4.051 | 28 | 2 0 -1 |
| 3.089 | 100 | 2 1 -1 |
| 3.035 | 46 | 2 0 1 |
| 2.997 | 87 | 0 1 2 |
| 2.755 | 38 | 2 1 -2 |
| 2.560 | 31 | 2 1 1 |
| 2.382 | 63 | 0 2 0 |
| 2.370 | 32 | 3 1 -1 |
| 1.874 | 28 | 2 2 1 |

Crystal structure
abc: 8.196 4.766 8.235
angles: 90.00 110.59 90.00
Space group P2_1/m (No. 11)
One atom of each set of equivalent atoms:
Ac (0.101, 0.250, 0.333)
Ac (0.287, 0.250, 0.963)
Mg (0.441, 0.750, 0.339)
Cd (0.332, 0.750, 0.659)
Pt (0.114, 0.750, 0.091)

=====

For AcMg2ZnCd2, a structure optimized by DFT (GGA-PBE) gives the computed powder diffractogram in this record (λ = 1.5418 Å (Cu Kα)).
Intensities are scaled so that the largest is 100.

Top 10 peaks for 10 to 90 degrees two-theta, by angle:
| d (Å) | I/Imax | hkl |
| --- | --- | --- |
| 3.795 | 100 | 1 1 0 |
| 3.217 | 70 | 1 0 3 |
| 3.015 | 27 | 0 0 4 |
| 2.684 | 61 | 2 0 0 |
| 2.361 | 33 | 1 1 4 |
| 2.061 | 34 | 2 1 3 |
| 2.005 | 33 | 2 0 4 |
| 1.898 | 22 | 2 2 0 |
| 1.697 | 21 | 3 1 0 |
| 1.606 | 16 | 2 2 4 |

Crystal structure
abc: 5.368 5.368 12.059
angles: 90.00 90.00 90.00
Space group I4/mmm (No. 139)
One atom of each set of equivalent atoms:
Ac (0.000, 0.000, 0.000)
Mg (0.000, 0.500, 0.250)
Zn (0.000, 0.000, 0.500)
Cd (0.000, 0.000, 0.291)

=====

For Ac2MgZn3Cd4, a structure optimized by DFT (GGA-PBE) gives the computed powder diffractogram in this record (λ = 1.5418 Å (Cu Kα)).
Intensities are scaled so that the largest is 100.

Top 10 peaks for 10 to 90 degrees two-theta, by angle:
| d (Å) | I/Imax | hkl |
| --- | --- | --- |
| 3.200 | 24 | 1 1 0 |
| 3.027 | 66 | 1 0 3 |
| 2.835 | 100 | 1 1 2 |
| 2.263 | 51 | 2 0 0 |
| 2.150 | 38 | 1 0 5 |
| 1.812 | 30 | 2 1 3 |
| 1.600 | 17 | 2 2 0 |
| 1.559 | 27 | 2 1 5 |
| 1.393 | 22 | 3 1 2 |
| 1.266 | 11 | 2 0 8 |

Crystal structure
abc: 4.526 4.526 12.214
angles: 90.00 90.00 90.00
Space group P-4m2 (No. 115)
One atom of each set of equivalent atoms:
Ac (0.000, 0.500, 0.237)
Mg (0.000, 0.000, 0.500)
Zn (0.000, 0.500, 0.866)
Zn (0.500, 0.500, 0.500)
Cd (0.000, 0.000, 0.000)
Cd (0.000, 0.500, 0.642)
Cd (0.500, 0.500, 0.000)